Simulated X-ray diffraction stick pattern of KMnTe2 for CuKα, from DFT lattice parameters and positions (GGA-PBE).

Atomic structure:
Unit cell a=4.3420 b=4.3420 c=14.2899 alpha=90.00 beta=90.00 gamma=90.00
Positions (direct):
1 K 0.0000 0.0000 0.0000
2 K 0.5000 0.5000 0.5000
3 Mn 0.0000 0.5000 0.2500
4 Mn 0.5000 0.0000 0.7500
5 Te 0.0000 0.0000 0.3554
6 Te 0.0000 0.0000 0.6446
7 Te 0.5000 0.5000 0.1446
8 Te 0.5000 0.5000 0.8554

Top 6 peaks for 2θ = 15–90°, low angle first:
d [Å]  I_rel
4.154  39
3.209  100
3.070  32
2.328  30
2.171  26
1.798  36